# 1
LiMnCo3O8: simulated powder diffractogram (Cu Kα (λ = 1.5418 Å)), based on a crystal structure in Alexandria, relaxed with PBE+U.
Lines closer than 0.1° are merged.

Atomic structure:
Unit cell a=5.682 b=5.682 c=6.110 alpha=119.41 beta=119.41 gamma=59.95
Element x y z (fractional)
Li: 0.000 0.000 0.000
Mn: 0.000 0.000 0.500
Co: 0.000 0.500 0.500
Co: 0.500 0.000 0.500
Co: 0.500 0.500 0.500
O: 0.231 0.734 0.696
O: 0.237 0.237 0.692
O: 0.263 0.263 0.306
O: 0.266 0.769 0.304
O: 0.734 0.231 0.696
O: 0.737 0.737 0.694
O: 0.763 0.763 0.308
O: 0.769 0.266 0.304

Peak list (10 most intense, 2θ from 10° to 80°, in order of falling intensity)
two_theta	Rel. int.
17.6	100.0
43.6	28.2
36.9	17.0
44.7	13.4
65.8	10.9
56.2	10.2
37.3	9.5
62.6	6.9
48.1	4.9
38.7	4.5



# 2
Li5MnCo2O8: simulated powder diffractogram (Cu Kα (λ = 1.5418 Å)), based on a crystal structure in Alexandria, relaxed with PBE+U.
Lines closer than 0.1° are merged.

Atomic structure:
Unit cell a=6.395 b=6.395 c=9.731 alpha=127.52 beta=127.52 gamma=25.83
Element x y z (fractional)
Li: 0.000 0.000 0.000
Li: 0.121 0.121 0.364
Li: 0.244 0.244 0.733
Li: 0.502 0.502 0.491
Li: 0.735 0.735 0.244
Mn: 0.374 0.374 0.119
Co: 0.617 0.617 0.862
Co: 0.865 0.865 0.612
O: 0.056 0.056 0.693
O: 0.179 0.179 0.032
O: 0.320 0.320 0.455
O: 0.433 0.433 0.782
O: 0.541 0.541 0.168
O: 0.700 0.700 0.561
O: 0.804 0.804 0.942
O: 0.920 0.920 0.280

Peak list (10 most intense, 2θ from 10° to 80°, in order of falling intensity)
two_theta	Rel. int.
18.6	100.0
44.2	58.0
11.6	28.7
45.0	27.1
36.7	23.1
14.2	16.3
64.7	15.4
36.9	14.8
65.2	14.7
58.1	10.6



# 3
Li3MnCoO5: simulated powder diffractogram (Cu Kα (λ = 1.5418 Å)), based on a crystal structure in Alexandria, relaxed with PBE+U.
Lines closer than 0.1° are merged.

Atomic structure:
Unit cell a=4.946 b=5.066 c=7.591 alpha=102.49 beta=108.97 gamma=99.45
Element x y z (fractional)
Li: 0.000 0.000 0.000
Li: 0.005 0.505 0.498
Li: 0.195 0.506 0.906
Li: 0.379 0.486 0.288
Li: 0.604 0.512 0.710
Li: 0.809 0.497 0.093
Mn: 0.596 0.000 0.191
Mn: 0.803 0.003 0.605
Co: 0.199 0.000 0.397
Co: 0.400 0.003 0.800
O: 0.005 0.777 0.738
O: 0.189 0.220 0.643
O: 0.222 0.773 0.166
O: 0.412 0.784 0.557
O: 0.418 0.228 0.046
O: 0.581 0.774 0.953
O: 0.588 0.220 0.440
O: 0.781 0.231 0.830
O: 0.809 0.783 0.354
O: 0.990 0.225 0.257

Peak list (10 most intense, 2θ from 10° to 80°, in order of falling intensity)
two_theta	Rel. int.
18.5	100.0
44.3	56.1
44.5	27.9
36.7	23.8
64.1	22.1
65.3	14.5
36.9	12.1
12.9	10.9
64.9	8.0
48.5	7.8



# 4
Li7Mn2Co3O12: simulated powder diffractogram (Cu Kα (λ = 1.5418 Å)), based on a crystal structure in Alexandria, relaxed with PBE+U.
Lines closer than 0.1° are merged.

Atomic structure:
Unit cell a=5.038 b=5.693 c=7.686 alpha=100.40 beta=95.49 gamma=106.66
Element x y z (fractional)
Li: 0.000 0.000 0.000
Li: 0.496 0.077 0.843
Li: 0.497 0.411 0.165
Li: 0.499 0.745 0.504
Li: 0.501 0.255 0.496
Li: 0.503 0.589 0.835
Li: 0.504 0.923 0.157
Mn: 0.006 0.835 0.329
Mn: 0.994 0.165 0.671
Co: 0.000 0.500 0.000
Co: 0.004 0.336 0.333
Co: 0.996 0.664 0.667
O: 0.213 0.447 0.578
O: 0.215 0.764 0.904
O: 0.217 0.951 0.582
O: 0.221 0.290 0.899
O: 0.234 0.123 0.262
O: 0.238 0.630 0.266
O: 0.762 0.370 0.734
O: 0.766 0.877 0.738
O: 0.779 0.710 0.101
O: 0.783 0.049 0.418
O: 0.785 0.236 0.096
O: 0.787 0.553 0.422

Peak list (10 most intense, 2θ from 10° to 80°, in order of falling intensity)
two_theta	Rel. int.
18.6	100.0
43.6	28.4
44.5	26.9
44.8	26.2
36.1	13.5
36.8	12.2
37.0	11.8
11.9	10.1
48.4	8.1
64.3	7.4